Simulated powder diffraction line list of Na3Ce2Hg4 for Cu Kα (λ = 1.5418 Å), from a structure optimized by DFT (GGA-PBE).

Top 10 peaks for 2θ = 10–90°, by angle:
17.2 deg, rel. 13; 21.3 deg, rel. 55; 32.5 deg, rel. 71; 32.7 deg, rel. 36; 34.0 deg, rel. 100; 47.6 deg, rel. 12; 47.9 deg, rel. 25; 59.8 deg, rel. 13; 60.0 deg, rel. 25; 60.9 deg, rel. 19

Atomic structure:
abc: 5.2745 5.2745 10.3264
angles: 90.29 90.29 59.92
Positions (direct):
Na 0.0000 0.0000 0.0000
Na 0.3345 0.3345 0.4264
Na 0.6655 0.6655 0.5736
Ce 0.3322 0.3322 0.8003
Ce 0.6678 0.6678 0.1997
Hg 0.0015 0.0015 0.3269
Hg 0.3344 0.3344 0.1072
Hg 0.6656 0.6656 0.8928
Hg 0.9985 0.9985 0.6731

Simulated powder diffraction line list of Na4Ce3HgS8 for Cu Kα (λ = 1.5418 Å), from a structure optimized by DFT (GGA-PBE).

Top 10 peaks for 2θ = 10–90°, by angle:
13.2 deg, rel. 79; 25.6 deg, rel. 45; 26.7 deg, rel. 39; 31.0 deg, rel. 100; 33.8 deg, rel. 19; 40.5 deg, rel. 20; 44.3 deg, rel. 35; 44.4 deg, rel. 36; 46.6 deg, rel. 21; 55.1 deg, rel. 18

Atomic structure:
abc: 8.1794 8.1794 8.1794
angles: 59.82 59.82 59.82
Positions (direct):
Na 0.0000 0.0000 0.0000
Na 0.0000 0.5000 0.5000
Na 0.5000 0.0000 0.5000
Na 0.5000 0.5000 0.0000
Ce 0.0000 0.0000 0.5000
Ce 0.0000 0.5000 0.0000
Ce 0.5000 0.0000 0.0000
Hg 0.5000 0.5000 0.5000
S 0.2374 0.7475 0.7475
S 0.2440 0.2440 0.2440
S 0.2525 0.2525 0.7626
S 0.2525 0.7626 0.2525
S 0.7475 0.2374 0.7475
S 0.7475 0.7475 0.2374
S 0.7560 0.7560 0.7560
S 0.7626 0.2525 0.2525

Simulated powder diffraction line list of Ce3NdHg6 for Cu Kα (λ = 1.5418 Å), from a structure optimized by DFT (GGA-PBE).

Top 10 peaks for 2θ = 10–90°, by angle:
32.8 deg, rel. 100; 33.6 deg, rel. 98; 33.7 deg, rel. 45; 34.5 deg, rel. 47; 46.3 deg, rel. 19; 49.0 deg, rel. 32; 59.0 deg, rel. 18; 60.6 deg, rel. 15; 60.8 deg, rel. 19; 61.2 deg, rel. 18

Atomic structure:
abc: 9.6254 5.1987 11.2312
angles: 90.00 104.91 90.00
Positions (direct):
Ce 0.0182 0.2500 0.3833
Ce 0.1438 0.7500 0.2168
Ce 0.2695 0.2500 0.9901
Ce 0.7305 0.7500 0.0099
Ce 0.8562 0.2500 0.7832
Ce 0.9818 0.7500 0.6167
Nd 0.4446 0.2500 0.6119
Nd 0.5554 0.7500 0.3881
Hg 0.0370 0.7500 0.9183
Hg 0.1611 0.2500 0.6980
Hg 0.2579 0.7500 0.5037
Hg 0.3432 0.2500 0.3056
Hg 0.3596 0.7500 0.8064
Hg 0.4352 0.7500 0.1020
Hg 0.5648 0.2500 0.8980
Hg 0.6404 0.2500 0.1936
Hg 0.6568 0.7500 0.6944
Hg 0.7421 0.2500 0.4963
Hg 0.8389 0.7500 0.3020
Hg 0.9630 0.2500 0.0817

Simulated powder diffraction line list of Ce2Nd3Hg7 for Cu Kα (λ = 1.5418 Å), from a structure optimized by DFT (GGA-PBE).

Top 10 peaks for 2θ = 10–90°, by angle:
16.2 deg, rel. 9; 29.9 deg, rel. 22; 32.7 deg, rel. 37; 34.2 deg, rel. 33; 35.1 deg, rel. 100; 48.0 deg, rel. 27; 56.7 deg, rel. 8; 60.0 deg, rel. 23; 61.8 deg, rel. 20; 81.1 deg, rel. 10

Atomic structure:
abc: 12.3911 12.3911 5.4748
angles: 90.00 90.00 155.55
Positions (direct):
Ce 0.1439 0.8561 0.0000
Ce 0.8561 0.1439 0.0000
Nd 0.3347 0.6653 0.5000
Nd 0.5000 0.5000 0.5000
Nd 0.6653 0.3347 0.5000
Hg 0.0000 0.0000 0.0000
Hg 0.0802 0.9198 0.5000
Hg 0.2758 0.7242 0.0000
Hg 0.4262 0.5738 0.0000
Hg 0.5738 0.4262 0.0000
Hg 0.7242 0.2758 0.0000
Hg 0.9198 0.0802 0.5000